The following is a computed X-ray diffraction stick pattern of Pt3Pb. It was derived from DFT lattice parameters and positions (PBE), using a wavelength of 1.5418 Å.

Top 5 peaks for 10° ≤ 2θ ≤ 90°, sorted by position:
- 2θ = 37.71°, d 2.386, I 100.0, (1 1 1)
- 2θ = 43.82°, d 2.066, I 49.5, (2 0 0)
- 2θ = 63.70°, d 1.461, I 33.2, (2 2 0)
- 2θ = 76.45°, d 1.246, I 39.7, (3 1 1)
- 2θ = 80.53°, d 1.193, I 11.6, (2 2 2)

Structural model:
Lattice parameters (Å, degrees): 4.1321 4.1321 4.1321 90.00 90.00 90.00
Element x y z (fractional)
Pt 0.0000 0.0000 0.5000
Pt 0.0000 0.5000 0.0000
Pt 0.5000 0.0000 0.0000
Pb 0.5000 0.5000 0.5000